Starting from a cell relaxed with PBE, the PXRD pattern of InGa2Au2 was calculated for Cu Kα (λ = 1.5418 Å).
No peak broadening, texture or thermal motion is included.

Structural model:
Cell lengths 4.3156, 4.3156, 13.1901 Å; angles 90.00, 90.00, 120.00 degrees
Space group P6_3/mmc (No. 194)
One atom of each set of equivalent atoms:
1 In 0.0000 0.0000 0.2500 x2
2 Ga 0.3333 0.6667 0.0633 x4
3 Au 0.3333 0.6667 0.6381 x4

Peak list (10 most intense, 2θ = 10–80°, low angle first)
(1 0 0), 2θ = 23.81°, I = 12; (1 0 1), 2θ = 24.76°, I = 43; (1 0 2), 2θ = 27.43°, I = 14; (1 0 4), 2θ = 36.33°, I = 34; (1 1 0), 2θ = 41.89°, I = 100; (1 1 4), 2θ = 50.55°, I = 10; (2 0 4), 2θ = 56.61°, I = 9; (2 0 5), 2θ = 60.74°, I = 16; (1 0 9), 2θ = 68.81°, I = 9; (3 0 0), 2θ = 76.48°, I = 25



Starting from a cell relaxed with PBE, the PXRD pattern of Lu2CdAg was calculated for Cu Kα (λ = 1.5418 Å).
No peak broadening, texture or thermal motion is included.

Structural model:
Cell lengths 7.247, 7.247, 7.247 Å; angles 90.00, 90.00, 90.00 degrees
Space group Fm-3m (No. 225)
One atom of each set of equivalent atoms:
1 Lu 0.250 0.250 0.250 x8
2 Cd 0.000 0.000 0.000 x4
3 Ag 0.000 0.000 0.500 x4

Peak list (8 most intense, 2θ = 10–80°, low angle first)
(2 0 0), 2θ = 24.57°, I = 5; (2 2 0), 2θ = 35.02°, I = 100; (2 2 2), 2θ = 43.24°, I = 2; (4 0 0), 2θ = 50.36°, I = 18; (4 2 0), 2θ = 56.81°, I = 2; (4 2 2), 2θ = 62.81°, I = 36; (4 4 0), 2θ = 73.99°, I = 11; (6 0 0), 2θ = 79.32°, I = 1



Starting from a cell relaxed with PBE, the PXRD pattern of BaSrBi3 was calculated for Cu Kα (λ = 1.5418 Å).
No peak broadening, texture or thermal motion is included.

Structural model:
Cell lengths 15.504, 7.110, 6.922 Å; angles 90.00, 90.00, 90.00 degrees
Space group Pnna (No. 52)
One atom of each set of equivalent atoms:
1 Ba 0.250 0.000 0.046 x4
2 Sr 0.000 0.250 0.250 x4
3 Bi 0.058 0.750 0.250 x4
4 Bi 0.149 0.052 0.566 x8

Peak list (10 most intense, 2θ = 10–80°, low angle first)
(0 1 1), 2θ = 17.89°, I = 31; (1 1 1), 2θ = 18.79°, I = 19; (4 1 0), 2θ = 26.19°, I = 19; (2 2 0), 2θ = 27.61°, I = 48; (2 0 2), 2θ = 28.24°, I = 38; (4 1 1), 2θ = 29.25°, I = 100; (5 0 1), 2θ = 31.62°, I = 25; (0 2 2), 2θ = 36.23°, I = 42; (6 1 1), 2θ = 39.32°, I = 28; (5 2 3), 2θ = 56.01°, I = 23



Starting from a cell relaxed with PBE, the PXRD pattern of Cd2GeO4 was calculated for Cu Kα (λ = 1.5418 Å).
No peak broadening, texture or thermal motion is included.

Structural model:
Cell lengths 11.407, 6.694, 5.288 Å; angles 90.00, 90.00, 90.00 degrees
Space group Pnma (No. 62)
One atom of each set of equivalent atoms:
1 Cd 0.000 0.000 0.000 x4
2 Cd 0.220 0.250 0.490 x4
3 Ge 0.098 0.750 0.433 x4
4 O 0.047 0.250 0.710 x4
5 O 0.097 0.750 0.767 x4
6 O 0.164 0.539 0.280 x8

Peak list (10 most intense, 2θ = 10–80°, low angle first)
(1 1 1), 2θ = 22.80°, I = 37; (3 0 1), 2θ = 28.92°, I = 73; (2 2 0), 2θ = 30.98°, I = 40; (3 1 1), 2θ = 31.92°, I = 71; (1 2 1), 2θ = 32.62°, I = 100; (0 0 2), 2θ = 33.90°, I = 28; (2 2 2), 2θ = 46.58°, I = 52; (0 4 0), 2θ = 54.87°, I = 21; (6 2 0), 2θ = 55.60°, I = 20; (7 0 1), 2θ = 59.37°, I = 22



Starting from a cell relaxed with PBE, the PXRD pattern of Rb2SnHgTe4 was calculated for Cu Kα (λ = 1.5418 Å).
No peak broadening, texture or thermal motion is included.

Structural model:
Cell lengths 9.074, 9.074, 7.607 Å; angles 90.00, 90.00, 90.00 degrees
Space group I-42m (No. 121)
One atom of each set of equivalent atoms:
1 Rb 0.000 0.500 0.000 x4
2 Sn 0.000 0.000 0.000 x2
3 Hg 0.000 0.000 0.500 x2
4 Te 0.168 0.168 0.237 x8

Peak list (10 most intense, 2θ = 10–80°, low angle first)
(1 1 0), 2θ = 13.80°, I = 41; (2 1 1), 2θ = 24.87°, I = 89; (2 2 0), 2θ = 27.81°, I = 45; (2 0 2), 2θ = 30.67°, I = 100; (3 1 2), 2θ = 39.33°, I = 28; (2 1 3), 2θ = 42.02°, I = 20; (4 1 1), 2θ = 42.77°, I = 22; (4 2 0), 2θ = 44.66°, I = 24; (4 0 2), 2θ = 46.62°, I = 30; (6 2 2), 2θ = 70.10°, I = 19



Starting from a cell relaxed with PBE, the PXRD pattern of K3TeP2O14 was calculated for Cu Kα (λ = 1.5418 Å).
No peak broadening, texture or thermal motion is included.

Structural model:
Cell lengths 6.443, 7.353, 16.252 Å; angles 77.16, 82.16, 71.22 degrees
Space group P-1 (No. 2)
One atom of each set of equivalent atoms:
1 K 0.103 0.490 0.256 x2
2 K 0.300 0.829 0.575 x2
3 K 0.317 0.835 0.069 x2
4 Te 0.000 0.500 0.000 x1
5 Te 0.000 0.500 0.500 x1
6 P 0.306 0.942 0.313 x2
7 P 0.353 0.965 0.817 x2
8 O 0.039 0.224 0.008 x2
9 O 0.052 0.221 0.521 x2
10 O 0.084 0.096 0.321 x2
11 O 0.164 0.482 0.594 x2
12 O 0.184 0.162 0.797 x2
13 O 0.192 0.490 0.083 x2
14 O 0.239 0.801 0.828 x2
15 O 0.253 0.412 0.424 x2
16 O 0.254 0.422 0.923 x2
17 O 0.305 0.800 0.258 x2
18 O 0.388 0.590 0.762 x2
19 O 0.393 0.851 0.400 x2
20 O 0.471 0.073 0.263 x2
21 O 0.472 0.931 0.896 x2

Peak list (10 most intense, 2θ = 10–80°, low angle first)
(0 1 2), 2θ = 15.44°, I = 35; (1 1 0), 2θ = 16.32°, I = 46; (1 0 2), 2θ = 17.76°, I = 61; (0 1 -2), 2θ = 18.71°, I = 50; (1 -1 0), 2θ = 22.30°, I = 100; (1 1 4), 2θ = 24.87°, I = 72; (1 2 2), 2θ = 25.61°, I = 41; (1 2 0), 2θ = 25.76°, I = 44; (1 0 -4), 2θ = 27.77°, I = 74; (2 1 0), 2θ = 28.28°, I = 38



Starting from a cell relaxed with PBE, the PXRD pattern of K2Te2O5 was calculated for Cu Kα (λ = 1.5418 Å).
No peak broadening, texture or thermal motion is included.

Structural model:
Cell lengths 7.911, 15.486, 5.610 Å; angles 90.00, 93.80, 90.00 degrees
Space group P2_1/c (No. 14)
One atom of each set of equivalent atoms:
1 K 0.118 0.181 0.237 x4
2 K 0.374 0.067 0.766 x4
3 Te 0.120 0.566 0.749 x4
4 Te 0.418 0.684 0.200 x4
5 O 0.055 0.147 0.726 x4
6 O 0.145 0.566 0.418 x4
7 O 0.313 0.638 0.844 x4
8 O 0.433 0.091 0.267 x4
9 O 0.445 0.244 0.999 x4

Peak list (10 most intense, 2θ = 10–80°, low angle first)
(1 1 0), 2θ = 12.59°, I = 23; (1 2 0), 2θ = 16.03°, I = 55; (1 2 -1), 2θ = 22.07°, I = 40; (1 2 1), 2θ = 23.13°, I = 20; (2 1 -1), 2θ = 27.39°, I = 36; (0 4 1), 2θ = 28.02°, I = 100; (2 3 0), 2θ = 28.47°, I = 51; (2 1 1), 2θ = 29.13°, I = 47; (0 0 2), 2θ = 31.98°, I = 46; (2 5 0), 2θ = 36.89°, I = 42



Starting from a cell relaxed with PBE, the PXRD pattern of Be8NbCr3 was calculated for Cu Kα (λ = 1.5418 Å).
No peak broadening, texture or thermal motion is included.

Structural model:
Cell lengths 4.3211, 4.3211, 7.0828 Å; angles 90.00, 90.00, 120.00 degrees
Space group P3m1 (No. 156)
One atom of each set of equivalent atoms:
1 Be 0.0000 0.0000 0.0000 x1
2 Be 0.0000 0.0000 0.4941 x1
3 Be 0.1701 0.3403 0.7583 x3
4 Be 0.3391 0.1695 0.2415 x3
5 Nb 0.6667 0.3333 0.5619 x1
6 Cr 0.3333 0.6667 0.0656 x1
7 Cr 0.3333 0.6667 0.4213 x1
8 Cr 0.6667 0.3333 0.9406 x1

Peak list (10 most intense, 2θ = 10–80°, low angle first)
(1 0 0), 2θ = 23.78°, I = 82; (0 0 2), 2θ = 25.15°, I = 40; (0 1 1), 2θ = 26.95°, I = 68; (0 1 2), 2θ = 34.88°, I = 40; (1 1 0), 2θ = 41.81°, I = 87; (1 0 3), 2θ = 45.42°, I = 100; (1 1 2), 2θ = 49.41°, I = 62; (2 0 1), 2θ = 50.45°, I = 24; (2 0 3), 2θ = 63.43°, I = 22; (2 1 3), 2θ = 78.90°, I = 34



Starting from a cell relaxed with PBE, the PXRD pattern of Na2CuAg2S2O2 was calculated for Cu Kα (λ = 1.5418 Å).
No peak broadening, texture or thermal motion is included.

Structural model:
Cell lengths 3.926, 3.926, 19.301 Å; angles 90.00, 90.00, 90.00 degrees
Space group I4/mmm (No. 139)
One atom of each set of equivalent atoms:
1 Na 0.000 0.000 0.076 x4
2 Cu 0.000 0.000 0.500 x2
3 Ag 0.000 0.500 0.250 x4
4 S 0.000 0.000 0.338 x4
5 O 0.000 0.500 0.000 x4

Peak list (10 most intense, 2θ = 10–80°, low angle first)
(0 0 4), 2θ = 18.39°, I = 100; (1 0 5), 2θ = 32.53°, I = 22; (1 1 2), 2θ = 33.59°, I = 80; (0 0 8), 2θ = 37.27°, I = 16; (1 1 4), 2θ = 37.37°, I = 52; (1 0 7), 2θ = 39.96°, I = 19; (1 1 6), 2θ = 43.04°, I = 46; (2 0 0), 2θ = 46.25°, I = 45; (2 0 4), 2θ = 50.14°, I = 49; (2 0 12), 2θ = 76.58°, I = 17